1.
Structure and computed powder diffraction line list of RbLiH2 (a GGA-PBE-relaxed structure; copper Kα).

Structural model:
```
16
Lattice="5.762 0.000 0.000 0.000 8.576 0.000 0.000 0.000 5.461" Properties=species:S:1:pos:R:3 pbc="T T T"
Rb 0.436 1.095 0.000
Rb 2.445 5.383 2.730
Rb 3.318 3.193 0.000
Rb 5.326 7.481 2.730
Li 0.109 3.214 2.709
Li 2.772 7.502 5.439
Li 2.990 1.074 2.709
Li 5.653 5.362 5.439
H 0.329 3.800 0.933
H 1.047 6.806 0.331
H 1.834 2.518 3.062
H 2.552 8.088 3.664
H 3.210 0.488 0.933
H 3.929 6.058 0.331
H 4.715 1.770 3.062
H 5.434 4.776 3.664
```

Peak list (10 most intense, 5 to 70 degrees two-theta, low angle first)
18.55 deg, intensity 61; 19.27 deg, intensity 78; 24.74 deg, intensity 21; 25.90 deg, intensity 17; 30.72 deg, intensity 100; 32.80 deg, intensity 43; 35.22 deg, intensity 26; 35.44 deg, intensity 16; 37.94 deg, intensity 22; 57.26 deg, intensity 17

2.
Structure and computed powder diffraction line list of Pm3Tm3Cd (a GGA-PBE-relaxed structure; copper Kα).

Structural model:
```
14
Lattice="9.454 0.000 0.000 -4.727 8.188 0.000 0.000 0.000 5.532" Properties=species:S:1:pos:R:3 pbc="T T T"
Pm -1.987 5.178 1.383
Pm 1.236 3.878 1.383
Pm 3.977 0.869 4.149
Pm 0.751 7.319 1.383
Pm 3.491 4.310 4.149
Pm 6.714 3.010 4.149
Tm -3.347 6.730 4.149
Tm 0.572 1.924 4.149
Tm 1.952 0.467 1.383
Tm 2.775 7.721 4.149
Tm 4.155 6.264 1.383
Tm 8.074 1.457 1.383
Cd 0.000 5.458 4.149
Cd 4.727 2.729 1.383
```

Peak list (10 most intense, 5 to 70 degrees two-theta, low angle first)
28.85 deg, intensity 24; 32.36 deg, intensity 24; 33.17 deg, intensity 100; 43.90 deg, intensity 15; 51.12 deg, intensity 19; 58.24 deg, intensity 20; 59.77 deg, intensity 3; 61.82 deg, intensity 21; 62.31 deg, intensity 15; 69.62 deg, intensity 4

3.
Structure and computed powder diffraction line list of LiBe3Ir2 (a GGA-PBE-relaxed structure; copper Kα).

Structural model:
```
12
Lattice="3.853 0.000 0.000 0.000 11.883 0.000 0.000 0.000 2.839" Properties=species:S:1:pos:R:3 pbc="T T T"
Li 0.000 0.000 0.000
Li 1.927 5.941 0.000
Be 0.000 2.188 1.419
Be 0.000 5.941 1.419
Be 0.000 9.695 1.419
Be 1.927 0.000 1.419
Be 1.927 3.754 1.419
Be 1.927 8.129 1.419
Ir 0.000 4.128 0.000
Ir 0.000 7.755 0.000
Ir 1.927 1.813 0.000
Ir 1.927 10.069 0.000
```

Peak list (10 most intense, 5 to 70 degrees two-theta, low angle first)
14.91 deg, intensity 36; 24.28 deg, intensity 68; 30.08 deg, intensity 34; 31.52 deg, intensity 51; 32.42 deg, intensity 89; 40.18 deg, intensity 36; 44.13 deg, intensity 26; 45.84 deg, intensity 100; 47.18 deg, intensity 21; 57.84 deg, intensity 19

4.
Structure and computed powder diffraction line list of YEr2S3 (a GGA-PBE-relaxed structure; copper Kα).

Structural model:
```
12
Lattice="3.893 0.000 0.000 0.000 5.479 0.000 0.000 0.000 11.631" Properties=species:S:1:pos:R:3 pbc="T T T"
Y 0.000 0.000 0.000
Y 1.947 2.740 5.816
Er 0.000 0.000 3.901
Er 0.000 0.000 7.730
Er 1.947 2.740 1.915
Er 1.947 2.740 9.716
S 0.000 2.740 0.000
S 0.000 2.740 3.840
S 0.000 2.740 7.792
S 1.947 0.000 1.976
S 1.947 0.000 5.816
S 1.947 0.000 9.655
```

Peak list (10 most intense, 5 to 70 degrees two-theta, low angle first)
17.89 deg, intensity 6; 28.16 deg, intensity 73; 32.62 deg, intensity 100; 46.66 deg, intensity 12; 46.84 deg, intensity 59; 55.41 deg, intensity 12; 55.58 deg, intensity 23; 58.13 deg, intensity 12; 58.31 deg, intensity 12; 68.28 deg, intensity 8

5.
Structure and computed powder diffraction line list of Y5Tl2H (a GGA-PBE-relaxed structure; copper Kα).

Structural model:
```
16
Lattice="6.972 0.000 0.000 0.000 6.972 0.000 0.000 0.000 8.984" Properties=species:S:1:pos:R:3 pbc="T T T"
Y 0.000 0.000 0.000
Y 1.732 1.732 6.698
Y 1.732 5.240 6.698
Y 1.754 1.754 2.206
Y 1.754 5.218 2.206
Y 3.486 3.486 4.492
Y 5.218 1.754 2.206
Y 5.218 5.218 2.206
Y 5.240 1.732 6.698
Y 5.240 5.240 6.698
Tl 0.000 3.486 4.463
Tl 0.000 3.486 8.955
Tl 3.486 0.000 4.463
Tl 3.486 0.000 8.955
H 0.000 0.000 2.228
H 3.486 3.486 6.719
```

Peak list (10 most intense, 5 to 70 degrees two-theta, low angle first)
17.99 deg, intensity 26; 26.85 deg, intensity 21; 32.51 deg, intensity 100; 36.45 deg, intensity 36; 40.15 deg, intensity 15; 52.50 deg, intensity 13; 55.34 deg, intensity 22; 63.13 deg, intensity 29; 68.09 deg, intensity 12; 68.16 deg, intensity 11

6.
Structure and computed powder diffraction line list of Fe3Pt5 (a GGA-PBE-relaxed structure; copper Kα).

Structural model:
```
16
Lattice="5.248 -4.780 0.000 5.248 4.780 0.000 -2.384 0.000 4.656" Properties=species:S:1:pos:R:3 pbc="T T T"
Fe 3.460 4.474 3.492
Fe 2.784 1.948 2.299
Fe 6.519 1.948 0.028
Fe 1.592 -1.948 4.627
Fe 5.327 -1.948 2.356
Fe 4.652 -4.474 1.164
Pt 1.637 2.826 4.556
Pt 0.792 0.470 3.401
Pt 1.984 -0.470 1.073
Pt 5.283 2.826 2.427
Pt 4.652 0.378 1.164
Pt 3.460 -0.378 3.492
Pt 2.829 -2.826 2.228
Pt 6.128 0.470 3.582
Pt 7.319 -0.470 1.254
Pt 6.474 -2.826 0.100
```

Peak list (10 most intense, 5 to 70 degrees two-theta, low angle first)
19.36 deg, intensity 20; 27.83 deg, intensity 19; 37.63 deg, intensity 16; 37.91 deg, intensity 61; 40.36 deg, intensity 71; 42.91 deg, intensity 100; 43.11 deg, intensity 86; 43.23 deg, intensity 83; 56.48 deg, intensity 17; 68.12 deg, intensity 30

7.
Structure and computed powder diffraction line list of CaAsP (a GGA-PBE-relaxed structure; copper Kα).

Structural model:
```
6
Lattice="9.530 0.000 0.000 0.000 3.776 0.000 -1.386 0.000 3.977" Properties=species:S:1:pos:R:3 pbc="T T T"
Ca 0.000 0.000 0.000
Ca 4.765 1.888 0.000
As 2.022 1.888 1.319
As 6.787 0.000 1.319
P 1.322 0.000 2.696
P 6.087 1.888 2.696
```

Peak list (10 most intense, 5 to 70 degrees two-theta, low angle first)
19.73 deg, intensity 57; 24.51 deg, intensity 64; 25.58 deg, intensity 64; 31.93 deg, intensity 28; 34.67 deg, intensity 39; 36.39 deg, intensity 100; 39.20 deg, intensity 94; 40.08 deg, intensity 44; 49.84 deg, intensity 42; 64.39 deg, intensity 29

8.
Structure and computed powder diffraction line list of Ac8Pd3RuI3 (a GGA-PBE-relaxed structure; copper Kα).

Structural model:
```
15
Lattice="7.695 -4.449 0.000 7.695 4.449 0.000 -5.137 0.000 8.674" Properties=species:S:1:pos:R:3 pbc="T T T"
Ac -0.101 0.000 5.943
Ac 3.886 2.308 5.940
Ac 6.367 2.308 2.734
Ac 2.570 0.000 2.713
Ac 7.683 0.000 5.961
Ac 3.886 -2.308 5.940
Ac 6.367 -2.308 2.734
Ac 10.354 0.000 2.731
Pd 1.279 2.224 4.337
Pd 1.279 -2.224 4.337
Pd 5.126 0.000 4.337
Ru -2.569 0.000 4.337
I 0.000 0.000 0.000
I 3.847 2.224 0.000
I 3.847 -2.224 0.000
```

Peak list (10 most intense, 5 to 70 degrees two-theta, low angle first)
10.20 deg, intensity 31; 24.11 deg, intensity 18; 26.91 deg, intensity 100; 28.84 deg, intensity 18; 33.51 deg, intensity 23; 36.15 deg, intensity 23; 40.59 deg, intensity 41; 49.37 deg, intensity 19; 51.88 deg, intensity 17; 65.76 deg, intensity 16

9.
Structure and computed powder diffraction line list of DyMg3Zn (a GGA-PBE-relaxed structure; copper Kα).

Structural model:
```
10
Lattice="7.596 0.000 0.000 0.000 3.772 0.000 -2.437 0.000 8.033" Properties=species:S:1:pos:R:3 pbc="T T T"
Dy 0.878 0.943 1.292
Dy 4.281 2.829 6.740
Mg -0.927 0.943 5.226
Mg 0.307 2.829 7.258
Mg 1.303 2.829 4.110
Mg 3.855 0.943 3.922
Mg 4.851 0.943 0.775
Mg 6.086 2.829 2.807
Zn 3.134 2.829 1.991
Zn 2.025 0.943 6.042
```

Peak list (10 most intense, 5 to 70 degrees two-theta, low angle first)
11.01 deg, intensity 44; 13.86 deg, intensity 100; 21.96 deg, intensity 39; 22.13 deg, intensity 29; 26.63 deg, intensity 30; 30.27 deg, intensity 67; 32.45 deg, intensity 52; 32.57 deg, intensity 58; 33.73 deg, intensity 69; 34.26 deg, intensity 66

10.
Structure and computed powder diffraction line list of Mg6GaHg6 (a GGA-PBE-relaxed structure; copper Kα).

Structural model:
```
13
Lattice="6.199 0.000 0.000 -3.099 5.368 0.000 0.000 0.000 9.311" Properties=species:S:1:pos:R:3 pbc="T T T"
Mg 0.000 0.000 1.649
Mg 0.000 0.000 7.662
Mg 0.000 3.579 0.000
Mg 0.000 3.579 4.656
Mg 3.099 1.789 0.000
Mg 3.099 1.789 4.656
Ga 0.000 0.000 4.656
Hg -1.550 2.684 2.322
Hg -1.550 2.684 6.989
Hg 3.099 0.000 2.322
Hg 3.099 0.000 6.989
Hg 1.550 2.684 2.322
Hg 1.550 2.684 6.989
```

Peak list (10 most intense, 5 to 70 degrees two-theta, low angle first)
16.51 deg, intensity 24; 19.06 deg, intensity 60; 25.32 deg, intensity 25; 33.38 deg, intensity 69; 34.77 deg, intensity 23; 38.71 deg, intensity 100; 48.96 deg, intensity 11; 52.00 deg, intensity 36; 59.65 deg, intensity 19; 63.24 deg, intensity 15

11.
Structure and computed powder diffraction line list of TiGaCuTc (a GGA-PBE-relaxed structure; copper Kα).

Structural model:
```
4
Lattice="3.349 0.000 0.000 0.000 4.006 0.000 0.000 0.000 4.224" Properties=species:S:1:pos:R:3 pbc="T T T"
Ti 0.000 0.000 0.000
Ga 0.000 2.003 2.112
Cu 1.675 0.000 2.112
Tc 1.675 2.003 0.000
```

Peak list (10 most intense, 5 to 70 degrees two-theta, low angle first)
22.19 deg, intensity 5; 26.62 deg, intensity 2; 30.76 deg, intensity 3; 34.17 deg, intensity 3; 41.12 deg, intensity 100; 42.82 deg, intensity 22; 45.27 deg, intensity 19; 54.82 deg, intensity 10; 57.91 deg, intensity 2; 64.07 deg, intensity 13

12.
Structure and computed powder diffraction line list of La3U2N7 (a GGA-PBE-relaxed structure; copper Kα).

Structural model:
```
12
Lattice="2.187 -10.892 0.000 2.187 10.892 0.000 0.000 0.000 4.144" Properties=species:S:1:pos:R:3 pbc="T T T"
La 0.000 0.000 0.000
La 2.187 6.914 0.000
La 2.187 -6.914 0.000
U 2.187 2.182 2.072
U 2.187 -2.182 2.072
N 2.187 8.723 2.072
N 2.187 4.290 2.072
N 2.187 2.236 0.000
N 2.187 0.000 2.072
N 2.187 -2.236 0.000
N 2.187 -4.290 2.072
N 2.187 -8.723 2.072
```

Peak list (10 most intense, 5 to 70 degrees two-theta, low angle first)
16.28 deg, intensity 25; 27.04 deg, intensity 37; 28.92 deg, intensity 95; 29.98 deg, intensity 100; 32.80 deg, intensity 56; 41.28 deg, intensity 27; 43.69 deg, intensity 23; 53.25 deg, intensity 36; 53.69 deg, intensity 28; 55.56 deg, intensity 30